(1)
This entry pairs a crystal structure of SrMgBr with its simulated PXRD pattern. Radiation: Cu Kα (λ = 1.5418 Å). Structure: a crystal structure in Alexandria, relaxed with PBE.
Lines closer than 0.1° are merged.

Cell and atoms:
abc: 16.268 4.186 4.186
angles: 59.99 90.00 90.00
Atoms (fractional coordinates):
Sr  0.171  0.000  0.000
Sr  0.829  0.000  0.000
Mg  0.000  0.666  0.666
Mg  0.500  0.715  0.715
Br  0.287  0.667  0.667
Br  0.713  0.667  0.667

Most intense lines, 15 to 90 degrees two-theta, by angle:
2θ (°)	I/Imax
24.56	51.5
25.17	28.1
29.65	100.0
33.10	52.5
37.13	43.5
43.23	41.9



(2)
This entry pairs a crystal structure of Li6Cd3Au with its simulated PXRD pattern. Radiation: Cu Kα (λ = 1.5418 Å). Structure: a crystal structure in Alexandria, relaxed with PBE.
Lines closer than 0.1° are merged.

Cell and atoms:
abc: 8.729 8.729 4.979
angles: 90.00 90.00 100.98
Atoms (fractional coordinates):
Li  0.010  0.587  0.305
Li  0.040  0.960  0.500
Li  0.239  0.761  0.652
Li  0.316  0.443  0.748
Li  0.413  0.990  0.305
Li  0.443  0.316  0.248
Li  0.557  0.684  0.748
Li  0.587  0.010  0.805
Li  0.684  0.557  0.248
Li  0.761  0.239  0.152
Li  0.960  0.040  0.000
Li  0.990  0.413  0.805
Cd  0.128  0.295  0.301
Cd  0.295  0.128  0.801
Cd  0.369  0.631  0.228
Cd  0.631  0.369  0.728
Cd  0.705  0.872  0.301
Cd  0.872  0.705  0.801
Au  0.156  0.844  0.094
Au  0.844  0.156  0.594

Most intense lines, 15 to 90 degrees two-theta, by angle:
2θ (°)	I/Imax
20.63	100.0
22.20	72.4
26.47	40.6
30.82	62.1
32.24	38.3
38.86	40.1



(3)
This entry pairs a crystal structure of TbNd2Tm5In with its simulated PXRD pattern. Radiation: Cu Kα (λ = 1.5418 Å). Structure: a crystal structure in Alexandria, relaxed with PBE.
Lines closer than 0.1° are merged.

Cell and atoms:
abc: 10.472 10.472 10.409
angles: 90.00 90.00 150.59
Atoms (fractional coordinates):
Tb  0.210  0.790  0.750
Tb  0.790  0.210  0.250
Nd  0.117  0.883  0.038
Nd  0.117  0.883  0.462
Nd  0.883  0.117  0.538
Nd  0.883  0.117  0.962
Tm  0.009  0.991  0.750
Tm  0.288  0.712  0.053
Tm  0.288  0.712  0.447
Tm  0.385  0.615  0.750
Tm  0.500  0.500  0.000
Tm  0.500  0.500  0.500
Tm  0.615  0.385  0.250
Tm  0.712  0.288  0.553
Tm  0.712  0.288  0.947
Tm  0.991  0.009  0.250
In  0.404  0.596  0.250
In  0.596  0.404  0.750

Most intense lines, 15 to 90 degrees two-theta, by angle:
2θ (°)	I/Imax
27.77	13.8
31.10	28.6
32.69	100.0
33.72	30.8
34.47	15.6
59.66	17.9



(4)
This entry pairs a crystal structure of Pm3IrCl2 with its simulated PXRD pattern. Radiation: Cu Kα (λ = 1.5418 Å). Structure: a crystal structure in Alexandria, relaxed with PBE.
Lines closer than 0.1° are merged.

Cell and atoms:
abc: 7.759 7.759 7.759
angles: 149.58 135.79 54.61
Atoms (fractional coordinates):
Pm  0.000  0.000  0.000
Pm  0.366  0.366  0.000
Pm  0.634  0.634  0.000
Ir  0.500  0.000  0.500
Cl  0.179  0.679  0.500
Cl  0.821  0.321  0.500

Most intense lines, 15 to 90 degrees two-theta, by angle:
2θ (°)	I/Imax
16.49	38.5
29.31	100.0
30.62	52.4
37.50	24.3
42.90	70.2
71.70	20.6



(5)
This entry pairs a crystal structure of Pr6S5Cl with its simulated PXRD pattern. Radiation: Cu Kα (λ = 1.5418 Å). Structure: a crystal structure in Alexandria, relaxed with PBE.
Lines closer than 0.1° are merged.

Cell and atoms:
abc: 7.115 7.115 7.126
angles: 99.57 99.57 119.79
Atoms (fractional coordinates):
Pr  0.064  0.413  0.738
Pr  0.237  0.237  0.259
Pr  0.413  0.064  0.738
Pr  0.587  0.936  0.262
Pr  0.763  0.763  0.741
Pr  0.936  0.587  0.262
S  0.000  0.000  0.500
S  0.168  0.832  0.000
S  0.339  0.661  0.500
S  0.661  0.339  0.500
S  0.832  0.168  0.000
Cl  0.500  0.500  0.000

Most intense lines, 15 to 90 degrees two-theta, by angle:
2θ (°)	I/Imax
26.49	35.8
26.58	35.5
30.74	100.0
43.97	35.5
44.08	35.4
72.68	19.5



(6)
This entry pairs a crystal structure of LaBe2H8Pd with its simulated PXRD pattern. Radiation: Cu Kα (λ = 1.5418 Å). Structure: a crystal structure in Alexandria, relaxed with PBE.
Lines closer than 0.1° are merged.

Cell and atoms:
abc: 4.732 4.732 6.954
angles: 112.59 112.59 53.98
Atoms (fractional coordinates):
La  0.000  0.000  0.000
Be  0.413  0.413  0.270
Be  0.587  0.587  0.730
H  0.203  0.696  0.660
H  0.261  0.261  0.300
H  0.304  0.797  0.340
H  0.351  0.351  0.031
H  0.649  0.649  0.969
H  0.696  0.203  0.660
H  0.739  0.739  0.700
H  0.797  0.304  0.340
Pd  0.000  0.000  0.500

Most intense lines, 15 to 90 degrees two-theta, by angle:
2θ (°)	I/Imax
23.38	62.9
23.79	100.0
28.00	35.0
28.45	31.6
33.15	50.6
41.32	55.2



(7)
This entry pairs a crystal structure of TmHf3Ir4 with its simulated PXRD pattern. Radiation: Cu Kα (λ = 1.5418 Å). Structure: a crystal structure in Alexandria, relaxed with PBE.
Lines closer than 0.1° are merged.

Cell and atoms:
abc: 9.592 6.245 4.807
angles: 90.00 90.00 90.00
Atoms (fractional coordinates):
Tm  0.000  0.000  0.000
Tm  0.500  0.000  0.000
Hf  0.000  0.500  0.000
Hf  0.250  0.000  0.478
Hf  0.250  0.500  0.474
Hf  0.500  0.500  0.000
Hf  0.750  0.000  0.522
Hf  0.750  0.500  0.526
Ir  0.000  0.257  0.500
Ir  0.000  0.743  0.500
Ir  0.250  0.258  0.966
Ir  0.250  0.742  0.966
Ir  0.500  0.257  0.500
Ir  0.500  0.743  0.500
Ir  0.750  0.258  0.034
Ir  0.750  0.742  0.034

Most intense lines, 15 to 90 degrees two-theta, by angle:
2θ (°)	I/Imax
37.46	55.9
39.20	100.0
54.02	19.0
68.69	17.0
68.81	19.4
72.18	16.4



(8)
This entry pairs a crystal structure of YH11Rh5 with its simulated PXRD pattern. Radiation: Cu Kα (λ = 1.5418 Å). Structure: a crystal structure in Alexandria, relaxed with PBE.
Lines closer than 0.1° are merged.

Cell and atoms:
abc: 5.342 5.342 5.395
angles: 103.55 103.55 93.49
Atoms (fractional coordinates):
Y  0.000  0.000  0.000
H  0.000  0.000  0.500
H  0.157  0.665  0.646
H  0.183  0.451  0.062
H  0.305  0.305  0.683
H  0.335  0.843  0.354
H  0.451  0.183  0.062
H  0.549  0.817  0.938
H  0.665  0.157  0.646
H  0.695  0.695  0.317
H  0.817  0.549  0.938
H  0.843  0.335  0.354
Rh  0.022  0.627  0.292
Rh  0.373  0.978  0.708
Rh  0.500  0.500  0.000
Rh  0.627  0.022  0.292
Rh  0.978  0.373  0.708

Most intense lines, 15 to 90 degrees two-theta, by angle:
2θ (°)	I/Imax
21.20	26.9
28.93	42.0
34.79	100.0
36.12	47.1
36.23	47.6
42.57	42.1



(9)
This entry pairs a crystal structure of Zr2Cd3Au with its simulated PXRD pattern. Radiation: Cu Kα (λ = 1.5418 Å). Structure: a crystal structure in Alexandria, relaxed with PBE.
Lines closer than 0.1° are merged.

Cell and atoms:
abc: 3.075 4.841 8.387
angles: 90.00 90.00 90.00
Atoms (fractional coordinates):
Zr  0.000  0.000  0.000
Zr  0.000  0.500  0.467
Cd  0.500  0.000  0.652
Cd  0.500  0.500  0.147
Cd  0.500  0.500  0.813
Au  0.500  0.000  0.320

Most intense lines, 15 to 90 degrees two-theta, by angle:
2θ (°)	I/Imax
36.23	87.3
37.14	100.0
47.82	24.3
52.85	28.1
66.36	27.2
72.89	26.6



(10)
This entry pairs a crystal structure of Li7Tl2Pb2 with its simulated PXRD pattern. Radiation: Cu Kα (λ = 1.5418 Å). Structure: a crystal structure in Alexandria, relaxed with PBE.
Lines closer than 0.1° are merged.

Cell and atoms:
abc: 7.263 7.263 5.039
angles: 110.20 110.20 78.90
Atoms (fractional coordinates):
Li  0.000  0.000  0.000
Li  0.057  0.406  0.234
Li  0.406  0.057  0.234
Li  0.498  0.498  0.750
Li  0.502  0.502  0.250
Li  0.594  0.943  0.766
Li  0.943  0.594  0.766
Tl  0.222  0.778  0.500
Tl  0.778  0.222  0.500
Pb  0.237  0.237  0.744
Pb  0.763  0.763  0.256

Most intense lines, 15 to 90 degrees two-theta, by angle:
2θ (°)	I/Imax
19.72	62.9
20.08	71.5
26.24	100.0
27.68	37.4
38.71	51.7
44.79	51.7



(11)
This entry pairs a crystal structure of Ho4MgHg7 with its simulated PXRD pattern. Radiation: Cu Kα (λ = 1.5418 Å). Structure: a crystal structure in Alexandria, relaxed with PBE.
Lines closer than 0.1° are merged.

Cell and atoms:
abc: 6.961 6.961 10.723
angles: 118.32 118.32 44.76
Atoms (fractional coordinates):
Ho  0.079  0.079  0.277
Ho  0.234  0.234  0.816
Ho  0.766  0.766  0.184
Ho  0.921  0.921  0.723
Mg  0.500  0.500  0.500
Hg  0.000  0.000  0.500
Hg  0.139  0.139  0.035
Hg  0.304  0.304  0.581
Hg  0.424  0.424  0.159
Hg  0.576  0.576  0.841
Hg  0.696  0.696  0.419
Hg  0.861  0.861  0.965

Most intense lines, 15 to 90 degrees two-theta, by angle:
2θ (°)	I/Imax
30.47	45.3
33.82	60.7
34.91	100.0
39.52	53.6
46.16	29.4
61.21	23.6



(12)
This entry pairs a crystal structure of Ac2Tb15Tm2 with its simulated PXRD pattern. Radiation: Cu Kα (λ = 1.5418 Å). Structure: a crystal structure in Alexandria, relaxed with PBE.
Lines closer than 0.1° are merged.

Cell and atoms:
abc: 8.791 8.791 8.791
angles: 79.63 79.63 79.63
Atoms (fractional coordinates):
Ac  0.112  0.112  0.112
Ac  0.888  0.888  0.888
Tb  0.000  0.000  0.500
Tb  0.000  0.308  0.692
Tb  0.000  0.500  0.000
Tb  0.000  0.692  0.308
Tb  0.157  0.626  0.626
Tb  0.308  0.000  0.692
Tb  0.308  0.692  0.000
Tb  0.374  0.374  0.843
Tb  0.374  0.843  0.374
Tb  0.500  0.000  0.000
Tb  0.626  0.157  0.626
Tb  0.626  0.626  0.157
Tb  0.692  0.000  0.308
Tb  0.692  0.308  0.000
Tb  0.843  0.374  0.374
Tm  0.328  0.328  0.328
Tm  0.672  0.672  0.672

Most intense lines, 15 to 90 degrees two-theta, by angle:
2θ (°)	I/Imax
27.17	45.0
27.44	47.2
31.16	67.6
31.40	100.0
31.79	70.2
35.31	87.2



(13)
This entry pairs a crystal structure of Ti6MnNi with its simulated PXRD pattern. Radiation: Cu Kα (λ = 1.5418 Å). Structure: a crystal structure in Alexandria, relaxed with PBE.
Lines closer than 0.1° are merged.

Cell and atoms:
abc: 7.413 7.413 7.413
angles: 146.76 146.76 47.72
Atoms (fractional coordinates):
Ti  0.110  0.610  0.500
Ti  0.247  0.247  0.000
Ti  0.390  0.890  0.500
Ti  0.610  0.110  0.500
Ti  0.753  0.753  0.000
Ti  0.890  0.390  0.500
Mn  0.000  0.000  0.000
Ni  0.500  0.500  0.000

Most intense lines, 15 to 90 degrees two-theta, by angle:
2θ (°)	I/Imax
40.15	100.0
42.64	44.5
54.11	7.8
61.89	13.2
71.23	12.7
76.38	25.1